Simulated PXRD pattern
Compound: Ca2HoMn3O9
Radiation: CuKα
Structure: DFT lattice parameters and positions (GGA+U)
Peak positions follow from Bragg's law for the DFT cell and can differ from measured ones.

```
data_Ca2HoMn3O9
_cell_length_a 7.685
_cell_length_b 9.262
_cell_length_c 10.758
_cell_angle_alpha 73.21
_cell_angle_beta 88.84
_cell_angle_gamma 66.23
_space_group_name_H-M_alt 'P -1'
_space_group_IT_number 2
_space_group_name_Hall '-P 1'
loop_
_atom_site_label
_atom_site_fract_x
_atom_site_fract_y
_atom_site_fract_z
Ca1 0.054 0.351 0.396
Ca2 0.212 0.014 0.735
Ca3 0.279 0.977 0.272
Ca4 0.385 0.691 0.061
Ho1 0.128 0.317 0.932
Ho2 0.462 0.653 0.598
Mn1 0.000 0.000 0.000
Mn2 0.000 0.000 0.500
Mn3 0.164 0.669 0.332
Mn4 0.167 0.667 0.832
Mn5 0.332 0.334 0.665
Mn6 0.334 0.335 0.166
Mn7 0.500 0.000 0.000
Mn8 0.500 0.000 0.500
O1 0.022 0.861 0.682
O2 0.040 0.812 0.436
O3 0.052 0.399 0.145
O4 0.067 0.792 0.956
O5 0.081 0.337 0.715
O6 0.115 0.862 0.180
O7 0.230 0.464 0.482
O8 0.247 0.008 0.955
O9 0.266 0.542 0.707
O10 0.281 0.935 0.516
O11 0.301 0.519 0.230
O12 0.303 0.466 0.980
O13 0.364 0.202 0.350
O14 0.368 0.149 0.102
O15 0.388 0.724 0.815
O16 0.406 0.131 0.620
O17 0.420 0.658 0.383
O18 0.434 0.203 0.849
```

Peak list (10 most intense, 2θ from 10° to 90°, sorted by position)
2θ 16.1, intensity 15, hkl 1 0 1
2θ 16.6, intensity 16, hkl 1 1 -1
2θ 26.1, intensity 11, hkl 2 0 -1
2θ 32.6, intensity 23, hkl 2 0 2
2θ 33.3, intensity 100, hkl 0 1 4
2θ 33.5, intensity 24, hkl 2 2 -2
2θ 47.3, intensity 13, hkl 4 2 0
2θ 47.6, intensity 14, hkl 0 2 -4
2θ 48.1, intensity 17, hkl 0 4 4
2θ 59.9, intensity 24, hkl 2 5 -2